Entry 1:
Computed X-ray diffraction stick pattern of Pr3Y2Zn2 for Cu Kα, 1.54184 Å, from a PBE-relaxed structure.

Structure:
a b c (Å): 3.701 3.701 29.944
angles (deg): 90.00 90.00 90.00
Space group I4/mmm (No. 139)
Symmetry-distinct sites (fractional):
Pr (0.000, 0.000, 0.000) [2 per cell]
Pr (0.000, 0.000, 0.122) [4 per cell]
Y (0.000, 0.000, 0.290) [4 per cell]
Zn (0.000, 0.000, 0.438) [4 per cell]

The 8 most intense peaks (2θ = 15–90°), in order of rising 2θ:
index	Position (°2θ)	I (rel.)
1 0 1	24.23	14
1 0 5	28.35	13
1 0 7	31.98	100
1 1 0	34.26	59
1 0 9	36.31	24
2 0 0	49.24	21
2 1 7	59.92	32
2 1 9	62.69	10

Entry 2:
Computed X-ray diffraction stick pattern of Pr12Y6Zr for Cu Kα, 1.54184 Å, from a PBE-relaxed structure.

Structure:
a b c (Å): 15.8560 15.8560 8.9210
angles (deg): 90.00 90.00 120.00
Space group R-3 (No. 148, hexagonal axes)
Symmetry-distinct sites (fractional):
Pr (0.0355, 0.7542, 0.3376) [18 per cell]
Pr (0.0764, 0.5123, 0.6662) [18 per cell]
Y (0.0171, 0.8816, 0.6721) [18 per cell]
Zr (0.0000, 0.0000, 0.0000) [3 per cell]

The 8 most intense peaks (2θ = 15–90°), in order of rising 2θ:
index	Position (°2θ)	I (rel.)
0 0 3	30.08	100
2 3 2	34.87	50
5 -2 4	50.14	35
2 3 5	59.58	42
0 0 6	62.52	12
4 6 4	73.62	5
10 -4 5	81.55	12
7 1 6	84.12	15

Entry 3:
Computed X-ray diffraction stick pattern of Pr2Y12Zr for Cu Kα, 1.54184 Å, from a PBE-relaxed structure.

Structure:
a b c (Å): 7.038 11.373 24.701
angles (deg): 90.00 90.00 90.00
Space group Cmme (No. 67)
Symmetry-distinct sites (fractional):
Pr (0.000, 0.250, 0.232) [4 per cell]
Pr (0.000, 0.250, 0.762) [4 per cell]
Y (0.000, 0.000, 0.430) [8 per cell]
Y (0.000, 0.015, 0.061) [8 per cell]
Y (0.238, 0.250, 0.915) [8 per cell]
Y (0.250, 0.000, 0.174) [8 per cell]
Y (0.250, 0.000, 0.305) [8 per cell]
Y (0.250, 0.250, 0.383) [8 per cell]
Zr (0.000, 0.250, 0.500) [4 per cell]

The 8 most intense peaks (2θ = 15–90°), in order of rising 2θ:
index	Position (°2θ)	I (rel.)
2 0 4	29.21	37
0 2 7	29.80	40
2 2 2	30.74	100
0 4 0	31.46	82
0 2 8	33.01	75
2 2 4	33.27	54
2 2 6	37.14	39
2 4 4	43.46	25

Entry 4:
Computed X-ray diffraction stick pattern of PrY14Zr for Cu Kα, 1.54184 Å, from a PBE-relaxed structure.

Structure:
a b c (Å): 7.127 7.127 9.988
angles (deg): 90.00 90.00 90.00
Space group P4/mmm (No. 123)
Symmetry-distinct sites (fractional):
Pr (0.000, 0.000, 0.000) [1 per cell]
Y (0.000, 0.000, 0.500) [1 per cell]
Y (0.000, 0.500, 0.000) [2 per cell]
Y (0.000, 0.500, 0.500) [2 per cell]
Y (0.256, 0.256, 0.245) [8 per cell]
Y (0.500, 0.500, 0.500) [1 per cell]
Zr (0.500, 0.500, 0.000) [1 per cell]

The 8 most intense peaks (2θ = 15–90°), in order of rising 2θ:
index	Position (°2θ)	I (rel.)
2 0 2	30.83	100
2 2 0	35.63	34
0 0 4	35.97	16
4 0 0	51.28	12
2 2 4	51.53	23
4 2 2	61.03	27
2 0 6	61.48	13
4 0 4	64.22	11